For RbCePrI6, DFT lattice parameters and positions (GGA-PBE) gives the computed PXRD pattern in this record (copper Kα).

Peak list (12 most intense, 2θ = 5–70°, low angle first)
2theta, I_rel, h k l
10.34, 31, 0 0 2
16.43, 36, 1 0 2
24.50, 100, 1 1 2
30.54, 77, 1 1 4
35.75, 14, 2 1 2
38.73, 32, 2 -1 6
38.86, 41, 3 0 0
46.48, 15, 4 -2 2
50.21, 17, 4 -2 4
58.72, 21, 3 0 8
62.13, 13, 4 1 2
65.25, 15, 4 1 4

Atomic structure:
Cell: 8.027 8.027 17.116 Å, 90.00 90.00 120.00°
Atoms (fractional coordinates):
Rb1 0.000 0.000 0.000
Rb2 0.000 0.000 0.500
Ce1 0.333 0.667 0.250
Ce2 0.667 0.333 0.750
Pr1 0.333 0.667 0.750
Pr2 0.667 0.333 0.250
I1 0.002 0.359 0.639
I2 0.002 0.643 0.861
I3 0.357 0.359 0.861
I4 0.357 0.998 0.639
I5 0.359 0.002 0.139
I6 0.359 0.357 0.361
I7 0.641 0.643 0.639
I8 0.641 0.998 0.861
I9 0.643 0.002 0.361
I10 0.643 0.641 0.139
I11 0.998 0.357 0.139
I12 0.998 0.641 0.361